The following is a computed powder XRD pattern of KSi2HO5. It was derived from the GGA-PBE geometry in Alexandria, using a wavelength of 1.5418 Å.

Crystal structure
```
KSi2HO5
1.0
7.338 -4.218 0.000
7.338 4.218 0.000
-5.285 0.000 8.334
K Si H O
4 8 4 20
direct
0.000 0.000 0.000
0.000 0.000 0.500
0.325 0.325 0.981
0.675 0.675 0.019
0.117 0.487 0.327
0.221 0.596 0.705
0.404 0.779 0.295
0.487 0.117 0.327
0.513 0.883 0.673
0.596 0.221 0.705
0.779 0.404 0.295
0.883 0.513 0.673
0.130 0.673 0.206
0.327 0.870 0.794
0.673 0.130 0.206
0.870 0.327 0.794
0.035 0.616 0.736
0.035 0.639 0.234
0.156 0.598 0.521
0.228 0.713 0.168
0.287 0.772 0.832
0.317 0.317 0.290
0.361 0.965 0.766
0.384 0.384 0.723
0.384 0.965 0.264
0.402 0.844 0.479
0.598 0.156 0.521
0.616 0.035 0.736
0.616 0.616 0.277
0.639 0.035 0.234
0.683 0.683 0.710
0.713 0.228 0.168
0.772 0.287 0.832
0.844 0.402 0.479
0.965 0.361 0.766
0.965 0.384 0.264
```

Peak list (10 most intense, 2θ = 10–90°, most intense first)
23.98 deg, intensity 1000
30.15 deg, intensity 959
23.20 deg, intensity 844
29.49 deg, intensity 674
21.05 deg, intensity 620
24.72 deg, intensity 523
36.86 deg, intensity 516
23.64 deg, intensity 486
21.32 deg, intensity 480
49.14 deg, intensity 396